Diffraction record for SiN2F6. The powder diffraction line list is simulated, not measured: it uses a structure optimized by DFT (PBE) and Cu Kα X-rays.

Structure:
a b c (Å): 5.637 5.637 5.036
angles (deg): 90.86 90.86 61.12
Fractional positions:
1 Si 0.000 0.000 0.000
2 N 0.246 0.246 0.276
3 N 0.754 0.754 0.724
4 F 0.101 0.692 0.829
5 F 0.110 0.110 0.756
6 F 0.308 0.899 0.171
7 F 0.692 0.101 0.829
8 F 0.890 0.890 0.244
9 F 0.899 0.308 0.171

The 6 most intense peaks (2θ = 10–90°), sorted by position:
| d_spacing | 2θ/deg | intensity |
| --- | --- | --- |
| 5.035 | 17.6 | 34 |
| 4.936 | 18.0 | 100 |
| 3.540 | 25.2 | 19 |
| 3.525 | 25.3 | 19 |
| 2.443 | 36.8 | 10 |
| 2.208 | 40.9 | 23 |